# Er3HfTl3Te8
Computed X-ray diffraction stick pattern, λ = 1.5418 Å (Cu Kα). Input: a structure optimized by DFT (PBE).

Atomic structure:
```
data_Er3HfTl3Te8
_chemical_formula_sum 'Er9 Hf3 Tl9 Te24'
_cell_length_a 8.6501
_cell_length_b 8.6501
_cell_length_c 24.9537
_cell_angle_alpha 90.00
_cell_angle_beta 90.00
_cell_angle_gamma 120.00
_space_group_name_H-M_alt 'R -3 m'
_space_group_IT_number 166
_space_group_name_Hall '-R 3 2"'
loop_
_atom_site_label
_atom_site_type_symbol
_atom_site_fract_x
_atom_site_fract_y
_atom_site_fract_z
Er1 Er 0.0000 0.5000 0.0000
Hf1 Hf 0.0000 0.0000 0.0000
Tl1 Tl 0.0000 0.5000 0.5000
Te1 Te 0.0000 0.0000 0.2626
Te2 Te 0.0137 0.5068 0.7351
```

Main lines, sorted by position (2θ from 10° to 90°):
| (hkl) | 2theta | I_rel |
| --- | --- | --- |
| 0 0 3 | 10.64 | 7 |
| 1 0 1 | 12.34 | 9 |
| 0 2 4 | 27.78 | 100 |
| 0 2 7 | 34.75 | 6 |
| 2 0 8 | 37.53 | 39 |
| 2 2 0 | 41.77 | 35 |
| 0 0 12 | 43.54 | 9 |
| 4 0 4 | 50.91 | 19 |
| 0 4 8 | 57.39 | 12 |
| 2 2 12 | 61.91 | 14 |
| 2 4 4 | 67.89 | 16 |
| 4 2 8 | 73.46 | 10 |